This entry pairs a crystal structure of Sm5Ag3 with its calculated PXRD pattern. Radiation: a wavelength of 1.5418 Å. Structure: a crystal structure in Alexandria, relaxed with PBE.

Largest 10 diffraction maxima, in order of falling intensity, 2θ from 5° to 70°:
(1 0 4), d 2.746, rel. 100; (1 1 0), d 2.596, rel. 48; (2 1 4), d 1.526, rel. 33; (2 0 0), d 1.835, rel. 17; (1 1 8), d 1.618, rel. 14; (2 0 8), d 1.373, rel. 8; (0 0 8), d 2.069, rel. 7; (1 0 6), d 2.205, rel. 4; (1 1 5), d 2.043, rel. 4; (1 0 9), d 1.644, rel. 3

Structure:
```
data_Sm5Ag3
_chemical_formula_sum 'Sm5 Ag3'
_cell_length_a 3.671
_cell_length_b 3.671
_cell_length_c 16.553
_cell_angle_alpha 90.00
_cell_angle_beta 90.00
_cell_angle_gamma 90.00
_space_group_name_H-M_alt 'P 4/m m m'
_space_group_IT_number 123
_space_group_name_Hall '-P 4 2'
loop_
_atom_site_label
_atom_site_type_symbol
_atom_site_fract_x
_atom_site_fract_y
_atom_site_fract_z
_atom_site_occupancy
Sm1 Sm 0.000 0.000 0.000 1
Sm2 Sm 0.000 0.000 0.227 1
Sm3 Sm 0.500 0.500 0.385 1
Ag1 Ag 0.000 0.000 0.500 1
Ag2 Ag 0.500 0.500 0.113 1
```

This entry pairs a crystal structure of Rb2VPtBr6 with its calculated PXRD pattern. Radiation: a wavelength of 1.5418 Å. Structure: a crystal structure in Alexandria, relaxed with PBE.

Largest 10 diffraction maxima, in order of falling intensity, 2θ from 5° to 70°:
(2 2 0), d 2.591, rel. 100; (2 2 4), d 1.958, rel. 69; (2 0 2), d 3.124, rel. 64; (0 0 4), d 2.988, rel. 60; (1 1 2), d 3.915, rel. 49; (4 0 0), d 1.832, rel. 37; (1 1 0), d 5.183, rel. 36; (1 0 3), d 3.500, rel. 35; (4 0 4), d 1.562, rel. 33; (0 0 2), d 5.976, rel. 29

Structure:
```
data_Rb2VPtBr6
_chemical_formula_sum 'Rb4 V2 Pt2 Br12'
_cell_length_a 7.329
_cell_length_b 7.329
_cell_length_c 11.951
_cell_angle_alpha 90.00
_cell_angle_beta 90.00
_cell_angle_gamma 90.00
_space_group_name_H-M_alt 'I 4/m m m'
_space_group_IT_number 139
_space_group_name_Hall '-I 4 2'
loop_
_atom_site_label
_atom_site_type_symbol
_atom_site_fract_x
_atom_site_fract_y
_atom_site_fract_z
_atom_site_occupancy
Rb1 Rb 0.000 0.500 0.250 1
V1 V 0.000 0.000 0.000 1
Pt1 Pt 0.000 0.000 0.500 1
Br1 Br 0.000 0.000 0.212 1
Br2 Br 0.243 0.243 0.500 1
```

This entry pairs a crystal structure of Cd5In3 with its calculated PXRD pattern. Radiation: a wavelength of 1.5418 Å. Structure: a crystal structure in Alexandria, relaxed with PBE.

Largest 10 diffraction maxima, in order of falling intensity, 2θ from 5° to 70°:
(0 4 4), d 2.828, rel. 100; (2 2 2), d 2.676, rel. 94; (1 3 5), d 2.645, rel. 85; (1 5 3), d 2.377, rel. 51; (1 1 7), d 2.415, rel. 47; (2 0 4), d 2.549, rel. 40; (2 4 0), d 2.307, rel. 38; (2 0 0), d 3.037, rel. 35; (2 4 8), d 1.644, rel. 19; (0 6 10), d 1.469, rel. 19

Structure:
```
data_Cd5In3
_chemical_formula_sum 'Cd40 In24'
_cell_length_a 6.075
_cell_length_b 14.187
_cell_length_c 18.745
_cell_angle_alpha 90.00
_cell_angle_beta 90.00
_cell_angle_gamma 90.00
_space_group_name_H-M_alt 'F m m m'
_space_group_IT_number 69
_space_group_name_Hall '-F 2 2'
loop_
_atom_site_label
_atom_site_type_symbol
_atom_site_fract_x
_atom_site_fract_y
_atom_site_fract_z
_atom_site_occupancy
Cd1 Cd 0.000 0.108 0.147 1
Cd2 Cd 0.000 0.153 0.400 1
Cd3 Cd 0.242 0.000 0.500 1
In1 In 0.000 0.000 0.290 1
In2 In 0.000 0.186 0.000 1
In3 In 0.250 0.250 0.250 1
```

This entry pairs a crystal structure of Sr2CaP2 with its calculated PXRD pattern. Radiation: a wavelength of 1.5418 Å. Structure: a crystal structure in Alexandria, relaxed with PBE.

Largest 10 diffraction maxima, in order of falling intensity, 2θ from 5° to 70°:
(2 1 1), d 3.214, rel. 100; (1 3 0), d 3.525, rel. 72; (0 4 2), d 2.210, rel. 55; (0 0 2), d 3.307, rel. 53; (1 1 2), d 2.946, rel. 50; (2 0 2), d 2.516, rel. 45; (3 2 1), d 2.227, rel. 39; (2 5 1), d 1.936, rel. 37; (1 4 1), d 2.555, rel. 35; (1 2 1), d 3.837, rel. 34

Structure:
```
data_Sr2CaP2
_chemical_formula_sum 'Sr8 Ca4 P8'
_cell_length_a 7.733
_cell_length_b 11.879
_cell_length_c 6.614
_cell_angle_alpha 90.00
_cell_angle_beta 90.00
_cell_angle_gamma 90.00
_space_group_name_H-M_alt 'I b a m'
_space_group_IT_number 72
_space_group_name_Hall '-I 2 2c'
loop_
_atom_site_label
_atom_site_type_symbol
_atom_site_fract_x
_atom_site_fract_y
_atom_site_fract_z
_atom_site_occupancy
Sr1 Sr 0.138 0.147 0.000 1
Ca1 Ca 0.000 0.500 0.250 1
P1 P 0.247 0.390 0.000 1
```